Starting from a GGA-PBE-relaxed structure, the X-ray powder pattern of NaTaGaP3O12 was simulated for a wavelength of 1.5418 Å.
Intensities are scaled so that the largest is 100.

Largest 8 diffraction maxima, low angle first, 15° ≤ 2θ ≤ 90°:
| d_spacing | Position (°2θ) | I/Imax |
| --- | --- | --- |
| 4.489 | 19.78 | 83 |
| 4.312 | 20.60 | 100 |
| 3.738 | 23.81 | 48 |
| 3.110 | 28.71 | 50 |
| 2.827 | 31.65 | 76 |
| 2.522 | 35.59 | 25 |
| 2.490 | 36.08 | 34 |
| 1.869 | 48.73 | 28 |

Structure:
a b c (Å): 8.993 8.993 8.993
angles (deg): 57.31 57.31 57.31
Fractional coordinates of all 36 atoms:
Na (0.000, 0.000, 0.000)
Na (0.500, 0.500, 0.500)
Ta (0.149, 0.149, 0.149)
Ta (0.649, 0.649, 0.649)
Ga (0.356, 0.356, 0.356)
Ga (0.856, 0.856, 0.856)
P (0.047, 0.471, 0.747)
P (0.247, 0.971, 0.547)
P (0.471, 0.747, 0.047)
P (0.547, 0.247, 0.971)
P (0.747, 0.047, 0.471)
P (0.971, 0.547, 0.247)
O (0.017, 0.637, 0.777)
O (0.067, 0.288, 0.928)
O (0.079, 0.936, 0.725)
O (0.137, 0.517, 0.277)
O (0.225, 0.436, 0.579)
O (0.230, 0.997, 0.369)
O (0.277, 0.137, 0.517)
O (0.288, 0.928, 0.067)
O (0.369, 0.230, 0.997)
O (0.428, 0.788, 0.567)
O (0.436, 0.579, 0.225)
O (0.497, 0.730, 0.869)
O (0.517, 0.277, 0.137)
O (0.567, 0.428, 0.788)
O (0.579, 0.225, 0.436)
O (0.637, 0.777, 0.017)
O (0.725, 0.079, 0.936)
O (0.730, 0.869, 0.497)
O (0.777, 0.017, 0.637)
O (0.788, 0.567, 0.428)
O (0.869, 0.497, 0.730)
O (0.928, 0.067, 0.288)
O (0.936, 0.725, 0.079)
O (0.997, 0.369, 0.230)